NdTh3C8: simulated powder diffraction line list (Cu Ka), based on DFT lattice parameters and positions (PBE).

Largest 10 diffraction maxima, sorted by position, 10° ≤ 2θ ≤ 90°:
2theta	I_rel
25.53	54
28.15	100
36.42	30
46.65	56
51.35	21
58.20	13
59.22	12
60.58	11
72.79	14
76.47	14

Structure:
a b c (Å): 6.440 6.438 6.978
angles (deg): 57.21 57.17 65.62
Fractional coordinates of all 12 atoms:
1 Nd 0.000 0.000 0.000
2 Th 0.251 0.251 0.249
3 Th 0.501 0.501 0.499
4 Th 0.751 0.751 0.749
5 C 0.094 0.424 0.576
6 C 0.118 0.609 0.882
7 C 0.389 0.885 0.115
8 C 0.424 0.094 0.906
9 C 0.578 0.908 0.422
10 C 0.609 0.118 0.391
11 C 0.885 0.389 0.611
12 C 0.908 0.578 0.092